# 1
Structure and theoretical X-ray diffraction stick pattern of AcNd2UAs4 (a GGA-PBE-relaxed structure; Cu Ka).
Kinematic intensities with the Lorentz-polarization factor, no thermal factor.

Structure:
a b c (Å): 7.4537 7.4436 6.0842
angles (deg): 65.98 65.81 48.21
Fractional coordinates of all 8 atoms:
1 Ac 0.0000 0.0000 0.0000
2 Nd 0.5000 0.5000 0.5000
3 Nd 0.7500 0.7500 0.7500
4 U 0.2500 0.2500 0.2500
5 As 0.0102 0.0102 0.4898
6 As 0.2554 0.2554 0.7446
7 As 0.4898 0.4898 0.0102
8 As 0.7446 0.7446 0.2554

Largest 8 diffraction maxima, sorted by position, 10 to 80 degrees two-theta:
25.4°, I 32; 29.4°, I 100; 42.0°, I 63; 52.0°, I 14; 52.2°, I 13; 69.1°, I 23; 76.7°, I 13; 76.9°, I 13

# 2
Structure and theoretical X-ray diffraction stick pattern of PmHo6Cd (a GGA-PBE-relaxed structure; Cu Ka).
Kinematic intensities with the Lorentz-polarization factor, no thermal factor.

Structure:
a b c (Å): 6.2847 6.2847 6.2847
angles (deg): 94.69 94.69 94.69
Fractional coordinates of all 8 atoms:
1 Pm 0.0000 0.0000 0.0000
2 Ho 0.0510 0.5409 0.2592
3 Ho 0.2592 0.0510 0.5409
4 Ho 0.4591 0.7408 0.9490
5 Ho 0.5409 0.2592 0.0510
6 Ho 0.7408 0.9490 0.4591
7 Ho 0.9490 0.4591 0.7408
8 Cd 0.5000 0.5000 0.5000

Largest 8 diffraction maxima, sorted by position, 10 to 80 degrees two-theta:
26.9°, I 19; 28.6°, I 31; 30.9°, I 100; 33.2°, I 47; 33.6°, I 21; 34.7°, I 78; 52.4°, I 23; 59.2°, I 28

# 3
Structure and theoretical X-ray diffraction stick pattern of Cs3AgPb4 (a GGA-PBE-relaxed structure; Cu Ka).
Kinematic intensities with the Lorentz-polarization factor, no thermal factor.

Structure:
a b c (Å): 7.4174 14.2362 7.0792
angles (deg): 90.00 90.00 90.00
Fractional coordinates of all 16 atoms:
1 Cs 0.2500 0.0020 0.1770
2 Cs 0.2500 0.2500 0.5478
3 Cs 0.2500 0.4980 0.1770
4 Cs 0.7500 0.5020 0.8230
5 Cs 0.7500 0.7500 0.4522
6 Cs 0.7500 0.9980 0.8230
7 Ag 0.2500 0.7500 0.3156
8 Ag 0.7500 0.2500 0.6844
9 Pb 0.0256 0.7500 0.9624
10 Pb 0.2500 0.6355 0.6709
11 Pb 0.2500 0.8645 0.6709
12 Pb 0.4744 0.7500 0.9624
13 Pb 0.5256 0.2500 0.0376
14 Pb 0.7500 0.1355 0.3291
15 Pb 0.7500 0.3645 0.3291
16 Pb 0.9744 0.2500 0.0376

Largest 8 diffraction maxima, sorted by position, 10 to 80 degrees two-theta:
12.4°, I 87; 13.5°, I 83; 27.1°, I 70; 28.1°, I 69; 30.0°, I 100; 30.6°, I 88; 40.6°, I 51; 52.7°, I 38

# 4
Structure and theoretical X-ray diffraction stick pattern of Cs4K6O (a GGA-PBE-relaxed structure; Cu Ka).
Kinematic intensities with the Lorentz-polarization factor, no thermal factor.

Structure:
a b c (Å): 14.7921 14.7921 9.2555
angles (deg): 90.00 90.00 120.00
Fractional coordinates of all 22 atoms:
1 Cs 0.2320 0.4641 0.0000
2 Cs 0.2320 0.7680 0.0000
3 Cs 0.3333 0.6667 0.6389
4 Cs 0.4641 0.2320 0.5000
5 Cs 0.5359 0.7680 0.0000
6 Cs 0.6667 0.3333 0.1389
7 Cs 0.7680 0.2320 0.5000
8 Cs 0.7680 0.5359 0.5000
9 K 0.0521 0.5261 0.3560
10 K 0.1148 0.2296 0.5118
11 K 0.1148 0.8852 0.5118
12 K 0.2296 0.1148 0.0118
13 K 0.4739 0.5261 0.3560
14 K 0.4739 0.9479 0.3560
15 K 0.5261 0.0521 0.8560
16 K 0.5261 0.4739 0.8560
17 K 0.7704 0.8852 0.5118
18 K 0.8852 0.1148 0.0118
19 K 0.8852 0.7704 0.0118
20 K 0.9479 0.4739 0.8560
21 O 0.3333 0.6667 0.9237
22 O 0.6667 0.3333 0.4237

Largest 8 diffraction maxima, sorted by position, 10 to 80 degrees two-theta:
11.8°, I 48; 19.2°, I 24; 20.7°, I 43; 22.9°, I 100; 23.7°, I 25; 26.9°, I 36; 29.8°, I 26; 36.4°, I 34

# 5
Structure and theoretical X-ray diffraction stick pattern of K2HO (a GGA-PBE-relaxed structure; Cu Ka).
Kinematic intensities with the Lorentz-polarization factor, no thermal factor.

Structure:
a b c (Å): 5.2928 4.3327 7.2002
angles (deg): 90.00 109.64 90.00
Fractional coordinates of all 8 atoms:
1 K 0.2369 0.2500 0.0703
2 K 0.2505 0.2500 0.5533
3 K 0.7495 0.7500 0.4467
4 K 0.7631 0.7500 0.9297
5 H 0.1997 0.7500 0.8008
6 H 0.8003 0.2500 0.1992
7 O 0.1775 0.7500 0.2910
8 O 0.8225 0.2500 0.7090

Largest 8 diffraction maxima, sorted by position, 10 to 80 degrees two-theta:
26.3°, I 41; 27.3°, I 86; 33.6°, I 100; 36.0°, I 40; 41.7°, I 29; 42.4°, I 34; 42.6°, I 34; 56.3°, I 18